ScNbO4: simulated X-ray powder pattern (Cu Kα), based on a cell relaxed with GGA-PBE.
Neutral-atom scattering factors, no anomalous dispersion.

Structure:
```
data_ScNbO4
_cell_length_a 5.162
_cell_length_b 4.857
_cell_length_c 5.803
_cell_angle_alpha 90.00
_cell_angle_beta 90.00
_cell_angle_gamma 90.00
_symmetry_space_group_name_H-M 'P n c 2'
_symmetry_Int_Tables_number 30
_symmetry_space_group_name_Hall 'P 2 -2bc'
loop_
_atom_site_label
_atom_site_fract_x
_atom_site_fract_y
_atom_site_fract_z
Sc1 0.000 0.000 0.000
Nb1 0.500 0.000 0.363
O1 0.186 0.212 0.284
O2 0.337 0.738 0.561
```

Peak list (6 most intense, 2θ from 15° to 90°, low angle first)
d = 5.162 Å, 2θ = 17.2°, rel. 17.5, (1 0 0); d = 3.725 Å, 2θ = 23.9°, rel. 37.6, (0 1 1); d = 3.020 Å, 2θ = 29.6°, rel. 100.0, (1 1 1); d = 1.769 Å, 2θ = 51.7°, rel. 18.2, (2 2 0); d = 1.752 Å, 2θ = 52.2°, rel. 21.8, (1 2 2); d = 1.562 Å, 2θ = 59.1°, rel. 14.7, (3 1 1)

=====

AlNi4Sb: simulated X-ray powder pattern (Cu Kα), based on a cell relaxed with GGA-PBE.
Neutral-atom scattering factors, no anomalous dispersion.

Structure:
```
data_AlNi4Sb
_cell_length_a 5.335
_cell_length_b 7.079
_cell_length_c 4.562
_cell_angle_alpha 90.00
_cell_angle_beta 112.35
_cell_angle_gamma 90.00
_symmetry_space_group_name_H-M 'P 1 21/c 1'
_symmetry_Int_Tables_number 14
_symmetry_space_group_name_Hall '-P 2ybc'
loop_
_atom_site_label
_atom_site_fract_x
_atom_site_fract_y
_atom_site_fract_z
Al1 0.000 0.000 0.000
Ni1 0.110 0.163 0.580
Ni2 0.358 0.658 0.416
Sb1 0.500 0.000 0.500
```

Peak list (6 most intense, 2θ from 15° to 90°, low angle first)
d = 2.330 Å, 2θ = 38.7°, rel. 44.9, (2 1 0); d = 2.164 Å, 2θ = 41.7°, rel. 39.3, (1 2 1); d = 2.110 Å, 2θ = 42.9°, rel. 28.3, (0 0 2); d = 2.040 Å, 2θ = 44.4°, rel. 100.0, (1 3 -1); d = 2.029 Å, 2θ = 44.7°, rel. 42.2, (2 0 -2); d = 2.023 Å, 2θ = 44.8°, rel. 35.8, (0 1 2)

=====

YAl9Cu2: simulated X-ray powder pattern (Cu Kα), based on a cell relaxed with GGA-PBE.
Neutral-atom scattering factors, no anomalous dispersion.

Structure:
```
data_YAl9Cu2
_cell_length_a 10.674
_cell_length_b 10.674
_cell_length_c 7.097
_cell_angle_alpha 90.00
_cell_angle_beta 90.00
_cell_angle_gamma 90.00
_symmetry_space_group_name_H-M 'I 41/a m d'
_symmetry_Int_Tables_number 141
loop_
_symmetry_equiv_pos_as_xyz
'x,y,z'
'-x,-y,-z'
'-y+1/4,x+3/4,z+1/4'
'y+1/4,-x+3/4,-z+1/4'
'-x+1/2,-y,z+1/2'
'x+1/2,y,-z+1/2'
'y+1/4,-x+1/4,z+3/4'
'-y+1/4,x+1/4,-z+3/4'
'x,-y,-z'
'-x,y,z'
'-y+1/4,-x+1/4,-z+3/4'
'y+1/4,x+1/4,z+3/4'
'-x+1/2,y,-z+1/2'
'x+1/2,-y,z+1/2'
'y+1/4,x+3/4,-z+1/4'
'-y+1/4,-x+3/4,z+1/4'
'x+1/2,y+1/2,z+1/2'
'-x+1/2,-y+1/2,-z+1/2'
'-y+3/4,x+1/4,z+3/4'
'y+3/4,-x+1/4,-z+3/4'
'-x,-y+1/2,z'
'x,y+1/2,-z'
'y+3/4,-x+3/4,z+1/4'
'-y+3/4,x+3/4,-z+1/4'
'x+1/2,-y+1/2,-z+1/2'
'-x+1/2,y+1/2,z+1/2'
'-y+3/4,-x+3/4,-z+1/4'
'y+3/4,x+3/4,z+1/4'
'-x,y+1/2,-z'
'x,-y+1/2,z'
'y+3/4,x+1/4,-z+3/4'
'-y+3/4,-x+1/4,z+3/4'
loop_
_atom_site_label
_atom_site_fract_x
_atom_site_fract_y
_atom_site_fract_z
Y1 0.000 0.250 0.375
Al1 0.000 0.250 0.875
Al2 0.123 0.050 0.682
Cu1 0.000 0.000 0.000
```

Peak list (6 most intense, 2θ from 15° to 90°, low angle first)
d = 3.961 Å, 2θ = 22.4°, rel. 81.6, (2 1 1); d = 2.732 Å, 2θ = 32.8°, rel. 83.2, (3 2 1); d = 2.446 Å, 2θ = 36.7°, rel. 100.0, (3 1 2); d = 2.387 Å, 2θ = 37.7°, rel. 59.9, (4 2 0); d = 2.310 Å, 2θ = 39.0°, rel. 50.2, (1 0 3); d = 1.981 Å, 2θ = 45.8°, rel. 60.6, (4 2 2)